(1)
For AlSb5Se5Cl4, a crystal structure in the Materials Project, relaxed with GGA-PBE gives the theoretical X-ray powder pattern in this record (Cu Kα).
Kinematic intensities with the Lorentz-polarization factor, no thermal factor.

Peak list (10 most intense, 10° ≤ 2θ ≤ 90°, low angle first)
Position (°2θ), I_rel
10.2, 100
10.5, 95
15.1, 41
23.5, 27
26.5, 33
28.1, 24
28.3, 42
29.0, 29
30.9, 37
31.4, 31

Atomic structure:
Cell lengths 9.702, 9.839, 11.946 Å; angles 104.07, 110.26, 99.74 degrees
Sites, in units of the cell vectors:
Al  0.074  0.377  0.200
Al  0.926  0.623  0.800
Sb  0.095  0.975  0.691
Sb  0.219  0.767  0.561
Sb  0.298  0.377  0.915
Sb  0.422  0.186  0.585
Sb  0.425  0.881  0.185
Sb  0.575  0.119  0.815
Sb  0.578  0.814  0.415
Sb  0.702  0.623  0.085
Sb  0.781  0.233  0.439
Sb  0.905  0.025  0.309
Se  0.155  0.194  0.611
Se  0.280  0.922  0.424
Se  0.357  0.111  0.904
Se  0.496  0.514  0.155
Se  0.498  0.838  0.727
Se  0.502  0.162  0.273
Se  0.504  0.486  0.845
Se  0.643  0.889  0.096
Se  0.720  0.078  0.576
Se  0.845  0.806  0.389
Cl  0.095  0.205  0.061
Cl  0.124  0.585  0.170
Cl  0.161  0.674  0.817
Cl  0.227  0.393  0.386
Cl  0.773  0.607  0.614
Cl  0.839  0.326  0.183
Cl  0.876  0.415  0.830
Cl  0.905  0.795  0.939

(2)
For IrBr6N2, a crystal structure in the Materials Project, relaxed with GGA-PBE gives the theoretical X-ray powder pattern in this record (Cu Kα).
Kinematic intensities with the Lorentz-polarization factor, no thermal factor.

Peak list (10 most intense, 10° ≤ 2θ ≤ 90°, low angle first)
Position (°2θ), I_rel
14.9, 86
17.2, 100
28.8, 35
30.1, 36
34.9, 82
39.2, 50
45.8, 23
50.2, 56
53.4, 26
84.1, 24

Atomic structure:
Cell lengths 7.276, 7.276, 7.276 Å; angles 60.00, 60.00, 60.00 degrees
Sites, in units of the cell vectors:
Ir  0.000  0.000  0.000
Br  0.239  0.239  0.761
Br  0.239  0.761  0.239
Br  0.239  0.761  0.761
Br  0.761  0.239  0.239
Br  0.761  0.239  0.761
Br  0.761  0.761  0.239
N  0.250  0.250  0.250
N  0.750  0.750  0.750

(3)
For LiGa2Pd, a crystal structure in the Materials Project, relaxed with GGA-PBE gives the theoretical X-ray powder pattern in this record (Cu Kα).
Kinematic intensities with the Lorentz-polarization factor, no thermal factor.

Peak list (10 most intense, 10° ≤ 2θ ≤ 90°, low angle first)
Position (°2θ), I_rel
24.9, 41
28.8, 2
41.2, 100
48.8, 19
59.7, 16
65.7, 8
67.6, 1
75.1, 32
80.6, 6
89.5, 10

Atomic structure:
Cell lengths 6.194, 6.194, 6.194 Å; angles 90.00, 90.00, 90.00 degrees
Sites, in units of the cell vectors:
Li  0.000  0.000  0.000
Li  0.000  0.500  0.500
Li  0.500  0.000  0.500
Li  0.500  0.500  0.000
Ga  0.250  0.250  0.250
Ga  0.250  0.250  0.750
Ga  0.250  0.750  0.250
Ga  0.250  0.750  0.750
Ga  0.750  0.250  0.250
Ga  0.750  0.250  0.750
Ga  0.750  0.750  0.250
Ga  0.750  0.750  0.750
Pd  0.000  0.000  0.500
Pd  0.000  0.500  0.000
Pd  0.500  0.000  0.000
Pd  0.500  0.500  0.500

Please write out number 1 again, unchanged.
For AlSb5Se5Cl4, a crystal structure in the Materials Project, relaxed with GGA-PBE gives the theoretical X-ray powder pattern in this record (Cu Kα).
Kinematic intensities with the Lorentz-polarization factor, no thermal factor.

Peak list (10 most intense, 10° ≤ 2θ ≤ 90°, low angle first)
Position (°2θ), I_rel
10.2, 100
10.5, 95
15.1, 41
23.5, 27
26.5, 33
28.1, 24
28.3, 42
29.0, 29
30.9, 37
31.4, 31

Atomic structure:
Cell lengths 9.702, 9.839, 11.946 Å; angles 104.07, 110.26, 99.74 degrees
Sites, in units of the cell vectors:
Al  0.074  0.377  0.200
Al  0.926  0.623  0.800
Sb  0.095  0.975  0.691
Sb  0.219  0.767  0.561
Sb  0.298  0.377  0.915
Sb  0.422  0.186  0.585
Sb  0.425  0.881  0.185
Sb  0.575  0.119  0.815
Sb  0.578  0.814  0.415
Sb  0.702  0.623  0.085
Sb  0.781  0.233  0.439
Sb  0.905  0.025  0.309
Se  0.155  0.194  0.611
Se  0.280  0.922  0.424
Se  0.357  0.111  0.904
Se  0.496  0.514  0.155
Se  0.498  0.838  0.727
Se  0.502  0.162  0.273
Se  0.504  0.486  0.845
Se  0.643  0.889  0.096
Se  0.720  0.078  0.576
Se  0.845  0.806  0.389
Cl  0.095  0.205  0.061
Cl  0.124  0.585  0.170
Cl  0.161  0.674  0.817
Cl  0.227  0.393  0.386
Cl  0.773  0.607  0.614
Cl  0.839  0.326  0.183
Cl  0.876  0.415  0.830
Cl  0.905  0.795  0.939

Repeat the second record exactly.
For IrBr6N2, a crystal structure in the Materials Project, relaxed with GGA-PBE gives the theoretical X-ray powder pattern in this record (Cu Kα).
Kinematic intensities with the Lorentz-polarization factor, no thermal factor.

Peak list (10 most intense, 10° ≤ 2θ ≤ 90°, low angle first)
Position (°2θ), I_rel
14.9, 86
17.2, 100
28.8, 35
30.1, 36
34.9, 82
39.2, 50
45.8, 23
50.2, 56
53.4, 26
84.1, 24

Atomic structure:
Cell lengths 7.276, 7.276, 7.276 Å; angles 60.00, 60.00, 60.00 degrees
Sites, in units of the cell vectors:
Ir  0.000  0.000  0.000
Br  0.239  0.239  0.761
Br  0.239  0.761  0.239
Br  0.239  0.761  0.761
Br  0.761  0.239  0.239
Br  0.761  0.239  0.761
Br  0.761  0.761  0.239
N  0.250  0.250  0.250
N  0.750  0.750  0.750